Structure and simulated X-ray powder pattern of CaLaTaFeO6 (DFT lattice parameters and positions (GGA+U); copper Kα).
Intensities are scaled so that the largest is 100.

Top 6 peaks for 2θ from 10° to 90°, low angle first:
18.9°, I 40
30.7°, I 32
31.5°, I 68
31.8°, I 100
44.8°, I 33
56.3°, I 30

Structural model:
abc: 5.621 5.826 9.622
angles: 90.00 124.91 90.00
Element x y z (fractional)
Ca1 0.000 0.193 0.000
Ca2 0.000 0.807 0.500
La1 0.466 0.304 0.496
La2 0.466 0.696 0.996
Ta1 0.732 0.246 0.247
Ta2 0.732 0.754 0.747
Fe1 0.233 0.250 0.748
Fe2 0.233 0.750 0.248
O1 0.069 0.058 0.297
O2 0.069 0.942 0.797
O3 0.395 0.435 0.199
O4 0.395 0.565 0.699
O5 0.492 0.037 0.695
O6 0.492 0.963 0.195
O7 0.591 0.280 0.003
O8 0.591 0.720 0.503
O9 0.879 0.215 0.493
O10 0.879 0.785 0.993
O11 0.970 0.466 0.801
O12 0.970 0.534 0.301

***

Structure and simulated X-ray powder pattern of CaLaVFeO6 (DFT lattice parameters and positions (GGA+U); copper Kα).
Intensities are scaled so that the largest is 100.

Top 6 peaks for 2θ from 10° to 90°, low angle first:
19.7°, I 84
32.2°, I 88
32.4°, I 87
32.8°, I 100
57.3°, I 39
58.0°, I 38

Structural model:
abc: 5.463 5.466 12.523
angles: 102.34 102.36 90.93
Element x y z (fractional)
Ca1 0.000 0.000 0.000
Ca2 0.332 0.335 0.667
Ca3 0.666 0.671 0.334
La1 0.155 0.183 0.330
La2 0.491 0.516 0.997
La3 0.824 0.851 0.664
V1 0.243 0.761 0.499
V2 0.411 0.929 0.832
V3 0.577 0.095 0.166
Fe1 0.076 0.594 0.165
Fe2 0.744 0.262 0.499
Fe3 0.911 0.428 0.832
O1 0.005 0.543 0.999
O2 0.068 0.471 0.511
O3 0.107 0.739 0.823
O4 0.147 0.648 0.334
O5 0.222 0.232 0.836
O6 0.268 0.282 0.159
O7 0.339 0.878 0.667
O8 0.400 0.805 0.179
O9 0.425 0.051 0.488
O10 0.480 0.982 0.998
O11 0.551 0.573 0.501
O12 0.596 0.623 0.825
O13 0.672 0.210 0.331
O14 0.716 0.118 0.844
O15 0.758 0.386 0.157
O16 0.814 0.314 0.664
O17 0.883 0.905 0.169
O18 0.937 0.949 0.492

***

Structure and simulated X-ray powder pattern of CaLaVFeO6 (DFT lattice parameters and positions (GGA+U); copper Kα).
Intensities are scaled so that the largest is 100.

Top 6 peaks for 2θ from 10° to 90°, low angle first:
19.6°, I 23
19.8°, I 24
32.0°, I 25
32.4°, I 24
32.5°, I 100
46.2°, I 33

Structural model:
abc: 5.526 5.594 9.466
angles: 90.00 125.53 90.00
Element x y z (fractional)
Ca1 0.000 0.210 0.000
Ca2 0.000 0.790 0.500
La1 0.474 0.281 0.499
La2 0.474 0.719 0.999
V1 0.735 0.249 0.248
V2 0.735 0.751 0.748
Fe1 0.236 0.250 0.750
Fe2 0.236 0.750 0.250
O1 0.058 0.033 0.291
O2 0.058 0.967 0.791
O3 0.409 0.461 0.206
O4 0.409 0.539 0.706
O5 0.477 0.031 0.707
O6 0.477 0.969 0.207
O7 0.579 0.265 0.010
O8 0.579 0.735 0.510
O9 0.902 0.231 0.490
O10 0.902 0.769 0.990
O11 0.993 0.466 0.795
O12 0.993 0.534 0.295

***

Structure and simulated X-ray powder pattern of CaLaVFeO6 (DFT lattice parameters and positions (GGA+U); copper Kα).
Intensities are scaled so that the largest is 100.

Top 6 peaks for 2θ from 10° to 90°, low angle first:
19.7°, I 31
32.4°, I 100
38.2°, I 18
46.5°, I 39
57.8°, I 37
67.9°, I 22

Structural model:
abc: 5.525 5.525 5.525
angles: 60.00 60.00 60.00
Element x y z (fractional)
Ca1 0.000 0.000 0.000
La1 0.500 0.500 0.500
V1 0.250 0.250 0.250
Fe1 0.750 0.750 0.750
O1 0.003 0.003 0.497
O2 0.003 0.497 0.003
O3 0.003 0.497 0.497
O4 0.497 0.003 0.003
O5 0.497 0.003 0.497
O6 0.497 0.497 0.003

***

Structure and simulated X-ray powder pattern of Ca7MgMn7FeO24 (DFT lattice parameters and positions (GGA+U); copper Kα).
Intensities are scaled so that the largest is 100.

Top 6 peaks for 2θ from 10° to 90°, low angle first:
23.4°, I 23
33.3°, I 100
47.8°, I 53
59.5°, I 35
69.9°, I 28
79.6°, I 14

Structural model:
abc: 7.616 7.616 7.616
angles: 89.99 89.99 89.99
Element x y z (fractional)
Ca1 0.000 0.000 0.000
Ca2 0.000 0.000 0.500
Ca3 0.000 0.500 0.000
Ca4 0.000 0.500 0.500
Ca5 0.500 0.000 0.000
Ca6 0.500 0.000 0.500
Ca7 0.500 0.500 0.000
Mg1 0.500 0.500 0.500
Mn1 0.250 0.250 0.749
Mn2 0.250 0.749 0.250
Mn3 0.250 0.749 0.749
Mn4 0.749 0.250 0.250
Mn5 0.749 0.250 0.749
Mn6 0.749 0.749 0.250
Mn7 0.749 0.749 0.749
Fe1 0.250 0.250 0.250
O1 0.000 0.750 0.750
O2 0.250 0.250 0.996
O3 0.250 0.750 0.999
O4 0.250 0.996 0.250
O5 0.250 0.999 0.750
O6 0.252 0.252 0.504
O7 0.252 0.501 0.747
O8 0.252 0.504 0.252
O9 0.252 0.747 0.501
O10 0.500 0.747 0.747
O11 0.501 0.252 0.747
O12 0.501 0.747 0.252
O13 0.504 0.252 0.252
O14 0.747 0.252 0.501
O15 0.747 0.500 0.747
O16 0.747 0.501 0.252
O17 0.747 0.747 0.500
O18 0.750 0.000 0.750
O19 0.750 0.250 0.999
O20 0.750 0.750 0.000
O21 0.750 0.999 0.250
O22 0.996 0.250 0.250
O23 0.999 0.250 0.750
O24 0.999 0.750 0.250